No. 1
# InH3I2O8
Calculated powder diffraction line list, Cu Kα. Input: a GGA-PBE-relaxed structure.

Main lines, by intensity (2θ = 10–80°):
index  2θ/deg  intensity
1 -2 1  28.56  1000
0 0 2  24.62  557
2 0 -1  25.94  517
0 0 1  12.24  469
-1 1 1  19.36  358
1 2 -2  30.92  271
-1 2 1  28.42  227
2 0 1  34.15  215
0 1 -2  25.05  179
2 1 -1  28.84  155
1 -2 3  45.97  155
1 0 -1  14.82  145

```
data_InH3I2O8
_symmetry_space_group_name_H-M 'P -1'
_symmetry_Int_Tables_number 2
_cell_length_a 6.915
_cell_length_b 7.805
_cell_length_c 7.840
_cell_angle_alpha 99.81
_cell_angle_beta 109.71
_cell_angle_gamma 93.10
loop_
_symmetry_equiv_pos_as_xyz
'x,y,z'
'-x,-y,-z'
loop_
_atom_site_label
_atom_site_type_symbol
_atom_site_fract_x
_atom_site_fract_y
_atom_site_fract_z
In1 In 0.000 0.000 0.000
In2 In 0.000 0.500 0.000
H1 H 0.016 0.292 0.239
H2 H 0.177 0.438 0.536
H3 H 0.223 0.246 0.508
I1 I 0.287 0.832 0.428
I2 I 0.484 0.271 0.036
O1 O 0.044 0.734 0.901
O2 O 0.109 0.319 0.476
O3 O 0.118 0.967 0.286
O4 O 0.189 0.612 0.286
O5 O 0.291 0.426 0.957
O6 O 0.308 0.069 0.994
O7 O 0.432 0.663 0.715
O8 O 0.477 0.141 0.628
```

No. 2
# H2IrI6
Calculated powder diffraction line list, Cu Kα. Input: a GGA-PBE-relaxed structure.

Main lines, by intensity (2θ = 10–80°):
index  2θ/deg  intensity
3 3 -1  30.59  1000
2 0 0  11.54  555
1 3 1  26.60  490
2 0 2  29.36  488
5 3 1  40.02  333
1 3 -3  45.66  308
3 1 0  18.86  296
4 0 0  23.20  293
2 0 -2  27.66  253
0 2 1  19.62  244
6 0 -2  42.43  178
0 6 0  45.17  167

```
data_H2IrI6
_symmetry_space_group_name_H-M 'C 1 2/c 1'
_symmetry_Int_Tables_number 15
_cell_length_a 15.385
_cell_length_b 12.045
_cell_length_c 6.876
_cell_angle_alpha 90.00
_cell_angle_beta 94.48
_cell_angle_gamma 90.00
loop_
_symmetry_equiv_pos_as_xyz
'x,y,z'
'-x,-y,-z'
'-x,y,-z+1/2'
'x,-y,z+1/2'
'x+1/2,y+1/2,z'
'-x+1/2,-y+1/2,-z'
'-x+1/2,y+1/2,-z+1/2'
'x+1/2,-y+1/2,z+1/2'
loop_
_atom_site_label
_atom_site_type_symbol
_atom_site_fract_x
_atom_site_fract_y
_atom_site_fract_z
H1 H 0.106 0.052 0.149
Ir1 Ir 0.000 0.414 0.250
I1 I 0.097 0.428 0.590
I2 I 0.109 0.261 0.127
I3 I 0.132 0.082 0.651
```

No. 3
# H5IrI4
Calculated powder diffraction line list, Cu Kα. Input: a GGA-PBE-relaxed structure.

Main lines, by intensity (2θ = 10–80°):
index  2θ/deg  intensity
1 0 1  19.92  1000
1 2 1  27.12  782
3 1 0  29.00  512
4 1 1  42.30  396
2 2 2  44.72  319
3 0 1  32.87  309
3 4 1  50.26  308
1 1 0  12.86  247
4 0 0  36.92  222
1 2 3  59.22  209
1 3 2  46.73  197
5 3 2  67.38  150

```
data_H5IrI4
_symmetry_space_group_name_H-M 'I 4'
_symmetry_Int_Tables_number 79
_cell_length_a 9.738
_cell_length_b 9.738
_cell_length_c 5.013
_cell_angle_alpha 90.00
_cell_angle_beta 90.00
_cell_angle_gamma 90.00
loop_
_symmetry_equiv_pos_as_xyz
'x,y,z'
'-y,x,z'
'-x,-y,z'
'y,-x,z'
'x+1/2,y+1/2,z+1/2'
'-y+1/2,x+1/2,z+1/2'
'-x+1/2,-y+1/2,z+1/2'
'y+1/2,-x+1/2,z+1/2'
loop_
_atom_site_label
_atom_site_type_symbol
_atom_site_fract_x
_atom_site_fract_y
_atom_site_fract_z
H1 H 0.000 0.000 0.000
H2 H 0.067 0.103 0.458
Ir1 Ir 0.000 0.000 0.673
I1 I 0.051 0.733 0.858
```

No. 4
# HIrI2
Calculated powder diffraction line list, Cu Kα. Input: a GGA-PBE-relaxed structure.

Main lines, by intensity (2θ = 10–80°):
index  2θ/deg  intensity
1 1 2  26.78  1000
2 0 4  44.53  489
1 0 1  17.17  374
3 1 2  52.50  294
2 2 0  44.27  243
2 1 1  35.56  231
1 0 3  28.01  204
1 1 6  52.95  150
3 1 6  71.42  117
2 1 3  42.19  88
4 0 0  64.40  76
3 0 1  47.82  72

```
data_HIrI2
_symmetry_space_group_name_H-M 'I -4 2 d'
_symmetry_Int_Tables_number 122
_symmetry_space_group_name_Hall 'I -4 2bw'
_cell_length_a 5.787
_cell_length_b 5.787
_cell_length_c 11.449
_cell_angle_alpha 90.00
_cell_angle_beta 90.00
_cell_angle_gamma 90.00
loop_
_atom_site_label
_atom_site_type_symbol
_atom_site_fract_x
_atom_site_fract_y
_atom_site_fract_z
H1 H 0.000 0.000 0.000
Ir1 Ir 0.000 0.000 0.500
I1 I 0.227 0.250 0.125
```

No. 5
# H4IrI3
Calculated powder diffraction line list, Cu Kα. Input: a GGA-PBE-relaxed structure.

Main lines, by intensity (2θ = 10–80°):
index  2θ/deg  intensity
1 0 1  17.63  1000
0 1 1  20.78  970
1 1 0  14.34  666
4 0 0  26.46  446
2 1 0  18.32  334
0 2 1  30.56  323
5 0 1  37.20  322
1 1 2  36.19  310
2 1 1  24.65  298
3 1 1  28.82  298
2 0 0  13.12  235
1 2 1  31.29  234

```
data_H4IrI3
_symmetry_space_group_name_H-M 'P m n 21'
_symmetry_Int_Tables_number 31
_cell_length_a 13.500
_cell_length_b 6.949
_cell_length_c 5.420
_cell_angle_alpha 90.00
_cell_angle_beta 90.00
_cell_angle_gamma 90.00
loop_
_symmetry_equiv_pos_as_xyz
'x,y,z'
'-x+1/2,-y,z+1/2'
'-x,y,z'
'x+1/2,-y,z+1/2'
loop_
_atom_site_label
_atom_site_type_symbol
_atom_site_fract_x
_atom_site_fract_y
_atom_site_fract_z
H1 H 0.000 0.046 0.000
H2 H 0.000 0.347 0.520
H3 H 0.064 0.348 0.023
Ir1 Ir 0.000 0.230 0.831
I1 I 0.000 0.599 0.549
I2 I 0.183 0.144 0.732
```

No. 6
# Nd8HIr3I3
Calculated powder diffraction line list, Cu Kα. Input: a GGA-PBE-relaxed structure.

Main lines, by intensity (2θ = 10–80°):
index  2θ/deg  intensity
2 2 -2  28.91  1000
0 4 0  43.45  385
0 0 1  11.10  311
4 0 -4  39.15  273
4 0 1  36.22  205
8 0 -4  53.03  185
8 4 -4  70.89  155
1 1 -1  14.34  138
4 4 -4  59.91  131
2 2 3  48.93  112
4 0 3  56.12  107
10 2 -6  76.86  101

```
data_Nd8HIr3I3
_symmetry_space_group_name_H-M 'C 1 2/m 1'
_symmetry_Int_Tables_number 12
_cell_length_a 14.425
_cell_length_b 8.334
_cell_length_c 9.304
_cell_angle_alpha 90.00
_cell_angle_beta 121.09
_cell_angle_gamma 90.00
loop_
_symmetry_equiv_pos_as_xyz
'x,y,z'
'-x,-y,-z'
'-x,y,-z'
'x,-y,z'
'x+1/2,y+1/2,z'
'-x+1/2,-y+1/2,-z'
'-x+1/2,y+1/2,-z'
'x+1/2,-y+1/2,z'
loop_
_atom_site_label
_atom_site_type_symbol
_atom_site_fract_x
_atom_site_fract_y
_atom_site_fract_z
Nd1 Nd 0.022 0.248 0.312
Nd2 Nd 0.229 0.000 0.688
Nd3 Nd 0.230 0.500 0.687
H1 H 0.000 0.500 0.500
Ir1 Ir 0.000 0.000 0.500
Ir2 Ir 0.250 0.250 0.500
I1 I 0.000 0.500 0.000
I2 I 0.250 0.250 0.000
```

No. 7
# K3HI2
Calculated powder diffraction line list, Cu Kα. Input: a GGA-PBE-relaxed structure.

Main lines, by intensity (2θ = 10–80°):
index  2θ/deg  intensity
1 0 3  26.59  1000
1 2 3  37.28  944
0 2 0  25.67  594
1 1 2  26.12  470
0 1 1  14.15  340
0 0 2  12.21  295
0 1 5  33.49  243
1 0 1  20.03  243
0 1 3  22.42  216
2 2 0  47.01  213
1 4 3  60.04  195
2 0 0  38.69  191

```
data_K3HI2
_symmetry_space_group_name_H-M 'I m m m'
_symmetry_Int_Tables_number 71
_symmetry_space_group_name_Hall '-I 2 2'
_cell_length_a 4.655
_cell_length_b 6.940
_cell_length_c 14.500
_cell_angle_alpha 90.00
_cell_angle_beta 90.00
_cell_angle_gamma 90.00
loop_
_atom_site_label
_atom_site_type_symbol
_atom_site_fract_x
_atom_site_fract_y
_atom_site_fract_z
K1 K 0.000 0.000 0.000
K2 K 0.000 0.000 0.363
H1 H 0.000 0.500 0.000
I1 I 0.000 0.500 0.326
```

No. 8
# KHI
Calculated powder diffraction line list, Cu Kα. Input: a GGA-PBE-relaxed structure.

Main lines, by intensity (2θ = 10–80°):
index  2θ/deg  intensity
1 2 1  28.89  1000
0 0 2  20.80  594
2 0 0  36.44  327
0 2 4  47.16  247
3 2 1  61.02  223
2 4 0  55.43  183
0 4 2  45.75  150
0 2 0  19.82  123
1 2 3  41.82  114
2 0 2  42.33  93
1 6 1  66.33  86
0 4 0  40.27  81

```
data_KHI
_symmetry_space_group_name_H-M 'I m m 2'
_symmetry_Int_Tables_number 44
_cell_length_a 4.933
_cell_length_b 8.958
_cell_length_c 8.537
_cell_angle_alpha 90.00
_cell_angle_beta 90.00
_cell_angle_gamma 90.00
loop_
_symmetry_equiv_pos_as_xyz
'x,y,z'
'-x,-y,z'
'-x,y,z'
'x,-y,z'
'x+1/2,y+1/2,z+1/2'
'-x+1/2,-y+1/2,z+1/2'
'-x+1/2,y+1/2,z+1/2'
'x+1/2,-y+1/2,z+1/2'
loop_
_atom_site_label
_atom_site_type_symbol
_atom_site_fract_x
_atom_site_fract_y
_atom_site_fract_z
K1 K 0.000 0.000 0.000
K2 K 0.000 0.500 0.011
H1 H 0.000 0.042 0.338
I1 I 0.000 0.250 0.672
```